Calculated PXRD pattern of NbVC2 for Cu Kα, 1.54184 Å, from a GGA-PBE-relaxed structure.
Intensities are scaled so that the largest is 100.

Peak list (6 most intense, 10° ≤ 2θ ≤ 80°, in order of rising 2θ)
- 2θ 35.65, I = 88.3, hkl 0 1 2
- 2θ 35.87, I = 29.1, hkl 0 0 6
- 2θ 41.46, I = 100.0, hkl 1 0 4
- 2θ 59.94, I = 30.8, hkl 1 1 0
- 2θ 60.23, I = 30.1, hkl 0 1 8
- 2θ 71.86, I = 22.3, hkl 1 1 6

Structure:
```
data_NbVC2
_chemical_formula_sum 'Nb3 V3 C6'
_cell_length_a 3.0865
_cell_length_b 3.0865
_cell_length_c 15.0225
_cell_angle_alpha 90.00
_cell_angle_beta 90.00
_cell_angle_gamma 120.00
_symmetry_space_group_name_H-M 'R -3 m'
_symmetry_Int_Tables_number 166
_symmetry_space_group_name_Hall '-R 3 2"'
loop_
_atom_site_label
_atom_site_type_symbol
_atom_site_fract_x
_atom_site_fract_y
_atom_site_fract_z
Nb1 Nb 0.0000 0.0000 0.0000
V1 V 0.0000 0.0000 0.5000
C1 C 0.0000 0.0000 0.2444
```


Calculated PXRD pattern of Sc3Ga5Co for Cu Kα, 1.54184 Å, from a GGA-PBE-relaxed structure.
Intensities are scaled so that the largest is 100.

Peak list (6 most intense, 10° ≤ 2θ ≤ 80°, in order of rising 2θ)
- 2θ 34.36, I = 46.8, hkl 2 3 1
- 2θ 35.71, I = 55.8, hkl 2 0 2
- 2θ 37.21, I = 94.4, hkl 2 4 0
- 2θ 38.87, I = 100.0, hkl 2 2 2
- 2θ 43.82, I = 66.9, hkl 4 0 0
- 2θ 47.31, I = 52.6, hkl 2 4 2

Structure:
```
data_Sc3Ga5Co
_chemical_formula_sum 'Sc12 Ga20 Co4'
_cell_length_a 8.264
_cell_length_b 11.917
_cell_length_c 6.337
_cell_angle_alpha 90.00
_cell_angle_beta 90.00
_cell_angle_gamma 90.00
_symmetry_space_group_name_H-M 'I m a 2'
_symmetry_Int_Tables_number 46
_symmetry_space_group_name_Hall 'I 2 -2a'
loop_
_atom_site_label
_atom_site_type_symbol
_atom_site_fract_x
_atom_site_fract_y
_atom_site_fract_z
Sc1 Sc 0.250 0.000 0.000
Sc2 Sc 0.250 0.216 0.337
Sc3 Sc 0.250 0.719 0.834
Ga1 Ga 0.001 0.154 0.056
Ga2 Ga 0.002 0.128 0.642
Ga3 Ga 0.250 0.503 0.006
Co1 Co 0.000 0.000 0.313
```


Calculated PXRD pattern of KErHSe2O9 for Cu Kα, 1.54184 Å, from a GGA-PBE-relaxed structure.
Intensities are scaled so that the largest is 100.

Peak list (6 most intense, 10° ≤ 2θ ≤ 80°, in order of rising 2θ)
- 2θ 11.26, I = 100.0, hkl 0 1 0
- 2θ 24.96, I = 85.0, hkl 0 2 2
- 2θ 25.42, I = 53.0, hkl 1 -1 1
- 2θ 25.89, I = 43.0, hkl 1 0 -2
- 2θ 29.34, I = 34.4, hkl 1 1 -2
- 2θ 31.37, I = 61.0, hkl 1 1 3

Structure:
```
data_KErHSe2O9
_chemical_formula_sum 'K2 Er2 H2 Se4 O18'
_cell_length_a 5.762
_cell_length_b 8.612
_cell_length_c 9.404
_cell_angle_alpha 70.29
_cell_angle_beta 84.26
_cell_angle_gamma 74.65
_symmetry_space_group_name_H-M 'P -1'
_symmetry_Int_Tables_number 2
_symmetry_space_group_name_Hall '-P 1'
loop_
_atom_site_label
_atom_site_type_symbol
_atom_site_fract_x
_atom_site_fract_y
_atom_site_fract_z
K1 K 0.235 0.279 0.483
Er1 Er 0.356 0.869 0.894
H1 H 0.325 0.602 0.761
Se1 Se 0.113 0.327 0.870
Se2 Se 0.217 0.949 0.284
O1 O 0.066 0.933 0.708
O2 O 0.097 0.504 0.726
O3 O 0.150 0.680 0.039
O4 O 0.199 0.163 0.801
O5 O 0.258 0.752 0.399
O6 O 0.288 0.967 0.100
O7 O 0.314 0.319 0.991
O8 O 0.410 0.045 0.323
O9 O 0.454 0.657 0.768
```


Calculated PXRD pattern of MgZn for Cu Kα, 1.54184 Å, from a GGA-PBE-relaxed structure.
Intensities are scaled so that the largest is 100.

Peak list (6 most intense, 10° ≤ 2θ ≤ 80°, in order of rising 2θ)
- 2θ 11.59, I = 80.3, hkl 0 0 2
- 2θ 34.31, I = 26.9, hkl 0 1 3
- 2θ 37.66, I = 38.2, hkl 2 0 0
- 2θ 39.30, I = 100.0, hkl 1 1 3
- 2θ 40.16, I = 46.3, hkl 1 0 6
- 2θ 75.47, I = 28.7, hkl 2 1 9

Structure:
```
data_MgZn
_chemical_formula_sum 'Mg6 Zn6'
_cell_length_a 4.777
_cell_length_b 3.046
_cell_length_c 15.264
_cell_angle_alpha 90.00
_cell_angle_beta 90.00
_cell_angle_gamma 90.00
_symmetry_space_group_name_H-M 'A m m 2'
_symmetry_Int_Tables_number 38
_symmetry_space_group_name_Hall 'A 2 -2'
loop_
_atom_site_label
_atom_site_type_symbol
_atom_site_fract_x
_atom_site_fract_y
_atom_site_fract_z
Mg1 Mg 0.000 0.000 0.000
Mg2 Mg 0.000 0.000 0.311
Mg3 Mg 0.500 0.000 0.433
Zn1 Zn 0.000 0.000 0.656
Zn2 Zn 0.500 0.000 0.105
Zn3 Zn 0.500 0.000 0.761
```


Calculated PXRD pattern of Hg3Te2I2 for Cu Kα, 1.54184 Å, from a GGA-PBE-relaxed structure.
Intensities are scaled so that the largest is 100.

Peak list (6 most intense, 10° ≤ 2θ ≤ 80°, in order of rising 2θ)
- 2θ 21.97, I = 87.6, hkl 3 1 1
- 2θ 29.09, I = 58.9, hkl 2 0 4
- 2θ 30.12, I = 100.0, hkl 4 2 0
- 2θ 32.04, I = 84.0, hkl 4 0 -4
- 2θ 34.93, I = 61.6, hkl 0 4 0
- 2θ 37.56, I = 60.0, hkl 4 0 4

Structure:
```
data_Hg3Te2I2
_chemical_formula_sum 'Hg24 Te16 I16'
_cell_length_a 14.705
_cell_length_b 10.273
_cell_length_c 14.725
_cell_angle_alpha 90.00
_cell_angle_beta 98.78
_cell_angle_gamma 90.00
_symmetry_space_group_name_H-M 'C 1 2/c 1'
_symmetry_Int_Tables_number 15
_symmetry_space_group_name_Hall '-C 2yc'
loop_
_atom_site_label
_atom_site_type_symbol
_atom_site_fract_x
_atom_site_fract_y
_atom_site_fract_z
Hg1 Hg 0.000 0.170 0.250
Hg2 Hg 0.029 0.226 0.979
Hg3 Hg 0.116 0.493 0.671
Hg4 Hg 0.250 0.250 0.500
Te1 Te 0.137 0.243 0.150
Te2 Te 0.141 0.232 0.634
I1 I 0.110 0.476 0.882
I2 I 0.124 0.015 0.882
```